This entry pairs a crystal structure of Li2Cr2O7 with its simulated X-ray powder pattern. Radiation: copper Kα. Structure: a crystal structure in the Materials Project, relaxed with PBE+U.

Main lines, by angle (2θ = 10–90°):
2θ 17.31, d 5.123, I = 88; 2θ 20.12, d 4.414, I = 94; 2θ 20.56, d 4.320, I = 70; 2θ 25.09, d 3.549, I = 56; 2θ 29.69, d 3.009, I = 100; 2θ 30.07, d 2.971, I = 55; 2θ 30.61, d 2.921, I = 43; 2θ 31.34, d 2.854, I = 56; 2θ 41.82, d 2.160, I = 39; 2θ 58.94, d 1.567, I = 45

```
data_Li2Cr2O7
_cell_length_a 6.6727
_cell_length_b 11.0196
_cell_length_c 13.9208
_cell_angle_alpha 90.00
_cell_angle_beta 90.00
_cell_angle_gamma 90.00
_symmetry_space_group_name_H-M 'C m c e'
_symmetry_Int_Tables_number 64
_symmetry_space_group_name_Hall '-C 2ac 2'
loop_
_atom_site_label
_atom_site_fract_x
_atom_site_fract_y
_atom_site_fract_z
Li1 0.0000 0.1905 0.1425
Li2 0.2450 0.0000 0.0000
Cr1 0.0000 0.2482 0.4205
Cr2 0.2500 0.0768 0.7500
O1 0.0000 0.1156 0.4752
O2 0.0000 0.1255 0.7165
O3 0.0000 0.1384 0.0013
O4 0.1957 0.0129 0.1613
O5 0.2032 0.2390 0.8512
```

***

This entry pairs a crystal structure of Li2Cr4O13 with its simulated X-ray powder pattern. Radiation: copper Kα. Structure: a crystal structure in the Materials Project, relaxed with PBE+U.

Main lines, by angle (2θ = 10–90°):
2θ 12.51, d 7.077, I = 67; 2θ 13.99, d 6.331, I = 22; 2θ 15.35, d 5.773, I = 43; 2θ 19.82, d 4.480, I = 52; 2θ 23.04, d 3.860, I = 100; 2θ 25.21, d 3.533, I = 57; 2θ 26.15, d 3.408, I = 63; 2θ 30.72, d 2.911, I = 28; 2θ 38.89, d 2.316, I = 25; 2θ 50.22, d 1.817, I = 30

```
data_Li2Cr4O13
_cell_length_a 7.7615
_cell_length_b 8.2420
_cell_length_c 12.2430
_cell_angle_alpha 95.20
_cell_angle_beta 107.73
_cell_angle_gamma 94.01
_symmetry_space_group_name_H-M 'P -1'
_symmetry_Int_Tables_number 2
_symmetry_space_group_name_Hall '-P 1'
loop_
_atom_site_label
_atom_site_fract_x
_atom_site_fract_y
_atom_site_fract_z
Li1 0.1901 0.0871 0.1325
Li2 0.2278 0.8852 0.8764
Li3 0.2958 0.5121 0.5067
Cr1 0.0426 0.8370 0.5447
Cr2 0.1156 0.4405 0.1438
Cr3 0.1348 0.2352 0.8603
Cr4 0.3529 0.1557 0.4586
Cr5 0.4751 0.7828 0.1466
Cr6 0.4875 0.5708 0.8480
O1 0.0241 0.0849 0.8984
O2 0.0273 0.7236 0.8830
O3 0.0349 0.4081 0.9113
O4 0.0597 0.2263 0.7238
O5 0.1178 0.8618 0.6838
O6 0.1343 0.6856 0.4988
O7 0.1485 0.0062 0.4942
O8 0.1815 0.2831 0.4891
O9 0.1843 0.4864 0.2806
O10 0.2843 0.1233 0.3197
O11 0.2860 0.3102 0.1114
O12 0.3282 0.9100 0.0919
O13 0.3289 0.5889 0.1133
O14 0.3340 0.1150 0.8893
O15 0.3719 0.3924 0.8851
O16 0.3943 0.7149 0.9019
O17 0.4152 0.5598 0.7096
O18 0.4630 0.1817 0.7157
O19 0.5000 0.0000 0.5000
O20 0.4997 0.3180 0.4961
```

***

This entry pairs a crystal structure of LiCrO2 with its simulated X-ray powder pattern. Radiation: copper Kα. Structure: a crystal structure in the Materials Project, relaxed with PBE+U.

Main lines, by angle (2θ = 10–90°):
2θ 18.18, d 4.878, I = 100; 2θ 35.57, d 2.524, I = 13; 2θ 35.69, d 2.516, I = 27; 2θ 43.17, d 2.096, I = 82; 2θ 47.27, d 1.923, I = 8; 2θ 56.89, d 1.618, I = 14; 2θ 62.28, d 1.491, I = 7; 2θ 62.49, d 1.486, I = 14; 2θ 62.88, d 1.478, I = 15; 2θ 66.05, d 1.415, I = 9

```
data_LiCrO2
_cell_length_a 5.1653
_cell_length_b 2.9444
_cell_length_c 5.1268
_cell_angle_alpha 90.00
_cell_angle_beta 109.18
_cell_angle_gamma 90.00
_symmetry_space_group_name_H-M 'P 1 2/c 1'
_symmetry_Int_Tables_number 13
_symmetry_space_group_name_Hall '-P 2yc'
loop_
_atom_site_label
_atom_site_fract_x
_atom_site_fract_y
_atom_site_fract_z
Li1 0.0000 0.2502 0.2500
Cr1 0.5000 0.2462 0.7500
O1 0.2731 0.2526 0.0072
```

***

This entry pairs a crystal structure of Li2CrO3 with its simulated X-ray powder pattern. Radiation: copper Kα. Structure: a crystal structure in the Materials Project, relaxed with PBE+U.

Main lines, by angle (2θ = 10–90°):
2θ 14.51, d 6.106, I = 23; 2θ 15.38, d 5.760, I = 29; 2θ 18.39, d 4.825, I = 100; 2θ 23.70, d 3.754, I = 23; 2θ 31.51, d 2.839, I = 12; 2θ 35.83, d 2.506, I = 12; 2θ 43.16, d 2.096, I = 38; 2θ 43.73, d 2.070, I = 35; 2θ 44.52, d 2.035, I = 32; 2θ 63.74, d 1.460, I = 18

```
data_Li2CrO3
_cell_length_a 2.9206
_cell_length_b 5.9440
_cell_length_c 6.4635
_cell_angle_alpha 75.94
_cell_angle_beta 77.09
_cell_angle_gamma 89.30
_symmetry_space_group_name_H-M 'P -1'
_symmetry_Int_Tables_number 2
_symmetry_space_group_name_Hall '-P 1'
loop_
_atom_site_label
_atom_site_fract_x
_atom_site_fract_y
_atom_site_fract_z
Li1 0.0000 0.0000 0.0000
Li2 0.0000 0.5000 0.0000
Li3 0.3379 0.1653 0.3191
Cr1 0.3305 0.6773 0.3166
O1 0.1595 0.1121 0.6602
O2 0.1847 0.5618 0.6539
O3 0.4922 0.7425 0.0234
```

***

This entry pairs a crystal structure of Li4CrO5 with its simulated X-ray powder pattern. Radiation: copper Kα. Structure: a crystal structure in the Materials Project, relaxed with PBE+U.

Main lines, by angle (2θ = 10–90°):
2θ 21.73, d 4.089, I = 72; 2θ 22.07, d 4.027, I = 100; 2θ 22.17, d 4.009, I = 75; 2θ 22.86, d 3.890, I = 54; 2θ 23.13, d 3.846, I = 47; 2θ 23.95, d 3.715, I = 58; 2θ 25.97, d 3.431, I = 48; 2θ 42.93, d 2.107, I = 78; 2θ 43.20, d 2.094, I = 76; 2θ 44.98, d 2.015, I = 91

```
data_Li4CrO5
_cell_length_a 5.0099
_cell_length_b 8.8694
_cell_length_c 8.9156
_cell_angle_alpha 113.36
_cell_angle_beta 96.75
_cell_angle_gamma 96.45
_symmetry_space_group_name_H-M 'P -1'
_symmetry_Int_Tables_number 2
_symmetry_space_group_name_Hall '-P 1'
loop_
_atom_site_label
_atom_site_fract_x
_atom_site_fract_y
_atom_site_fract_z
Li1 0.0000 0.0000 0.0000
Li2 0.0035 0.3960 0.5949
Li3 0.0232 0.8003 0.1976
Li4 0.2146 0.5498 0.9350
Li5 0.2543 0.9521 0.5382
Li6 0.2577 0.3571 0.1604
Li7 0.2844 0.1568 0.3566
Li8 0.4841 0.8955 0.0854
Li9 0.5000 0.5000 0.5000
Cr1 0.2125 0.7864 0.7535
Cr2 0.4772 0.2990 0.7394
O1 0.0863 0.3644 0.3572
O2 0.1052 0.9687 0.7770
O3 0.1297 0.7711 0.9434
O4 0.1704 0.5950 0.1823
O5 0.1782 0.1812 0.5853
O6 0.3404 0.7276 0.5638
O7 0.3679 0.3198 0.9179
O8 0.3912 0.8968 0.3189
O9 0.3981 0.4790 0.7145
O10 0.4362 0.1431 0.1405
```